Record 1
For Hf8Pd2C3, a GGA-PBE-relaxed structure gives the calculated powder diffraction line list in this record (a wavelength of 1.5418 Å).
Kinematic intensities with the Lorentz-polarization factor, no thermal factor.

Largest 8 diffraction maxima, low angle first, 2θ = 10–90°:
- 29.19°, intensity 46
- 30.61°, intensity 34
- 31.41°, intensity 92
- 36.20°, intensity 49
- 36.79°, intensity 75
- 38.97°, intensity 52
- 39.83°, intensity 100
- 54.15°, intensity 43

Structure:
a = 7.216 Å, b = 7.216 Å, c = 5.922 Å
α = 105.59°, β = 105.59°, γ = 54.40°
Positions (direct):
Hf1 0.102 0.102 0.897
Hf2 0.144 0.657 0.611
Hf3 0.343 0.856 0.389
Hf4 0.392 0.392 0.049
Hf5 0.608 0.608 0.951
Hf6 0.657 0.144 0.611
Hf7 0.856 0.343 0.389
Hf8 0.898 0.898 0.103
Pd1 0.261 0.261 0.321
Pd2 0.739 0.739 0.679
C1 0.000 0.000 0.500
C2 0.242 0.758 0.000
C3 0.758 0.242 0.000

=====

Record 2
For Hf4Pt2C, a GGA-PBE-relaxed structure gives the calculated powder diffraction line list in this record (a wavelength of 1.5418 Å).
Kinematic intensities with the Lorentz-polarization factor, no thermal factor.

Largest 8 diffraction maxima, low angle first, 2θ = 10–90°:
- 31.38°, intensity 40
- 33.90°, intensity 84
- 37.42°, intensity 100
- 38.52°, intensity 93
- 40.91°, intensity 31
- 44.33°, intensity 40
- 52.56°, intensity 37
- 64.03°, intensity 27

Structure:
a = 6.553 Å, b = 11.561 Å, c = 3.482 Å
α = 90.00°, β = 90.00°, γ = 90.00°
Positions (direct):
Hf1 0.113 0.185 0.000
Hf2 0.226 0.956 0.500
Hf3 0.274 0.456 0.500
Hf4 0.387 0.685 0.000
Hf5 0.613 0.315 0.000
Hf6 0.726 0.544 0.500
Hf7 0.774 0.044 0.500
Hf8 0.887 0.815 0.000
Pt1 0.074 0.672 0.500
Pt2 0.426 0.172 0.500
Pt3 0.574 0.828 0.500
Pt4 0.926 0.328 0.500
C1 0.000 0.000 0.000
C2 0.500 0.500 0.000

=====

Record 3
For HfRhC2, a GGA-PBE-relaxed structure gives the calculated powder diffraction line list in this record (a wavelength of 1.5418 Å).
Kinematic intensities with the Lorentz-polarization factor, no thermal factor.

Largest 8 diffraction maxima, low angle first, 2θ = 10–90°:
- 32.38°, intensity 100
- 34.87°, intensity 17
- 38.84°, intensity 25
- 53.18°, intensity 26
- 56.10°, intensity 11
- 60.96°, intensity 16
- 66.28°, intensity 25
- 87.52°, intensity 12

Structure:
a = 6.102 Å, b = 6.102 Å, c = 6.102 Å
α = 135.34°, β = 135.34°, γ = 65.01°
Positions (direct):
Hf1 0.000 0.000 0.000
Hf2 0.750 0.250 0.500
Rh1 0.250 0.750 0.500
Rh2 0.500 0.500 0.000
C1 0.164 0.625 0.039
C2 0.375 0.414 0.539
C3 0.586 0.125 0.961
C4 0.875 0.836 0.461

=====

Record 4
For Hf4Ru12C3, a GGA-PBE-relaxed structure gives the calculated powder diffraction line list in this record (a wavelength of 1.5418 Å).
Kinematic intensities with the Lorentz-polarization factor, no thermal factor.

Largest 8 diffraction maxima, low angle first, 2θ = 10–90°:
- 38.45°, intensity 100
- 44.39°, intensity 36
- 45.29°, intensity 16
- 64.59°, intensity 11
- 65.28°, intensity 21
- 77.74°, intensity 25
- 79.03°, intensity 11
- 82.37°, intensity 11

Structure:
a = 4.081 Å, b = 4.081 Å, c = 16.020 Å
α = 90.00°, β = 90.00°, γ = 90.00°
Positions (direct):
Hf1 0.000 0.000 0.117
Hf2 0.000 0.000 0.373
Hf3 0.000 0.000 0.627
Hf4 0.000 0.000 0.883
Ru1 0.000 0.500 0.000
Ru2 0.000 0.500 0.249
Ru3 0.000 0.500 0.500
Ru4 0.000 0.500 0.751
Ru5 0.500 0.000 0.000
Ru6 0.500 0.000 0.249
Ru7 0.500 0.000 0.500
Ru8 0.500 0.000 0.751
Ru9 0.500 0.500 0.116
Ru10 0.500 0.500 0.373
Ru11 0.500 0.500 0.627
Ru12 0.500 0.500 0.884
C1 0.500 0.500 0.239
C2 0.500 0.500 0.500
C3 0.500 0.500 0.761

=====

Record 5
For HfRu3C, a GGA-PBE-relaxed structure gives the calculated powder diffraction line list in this record (a wavelength of 1.5418 Å).
Kinematic intensities with the Lorentz-polarization factor, no thermal factor.

Largest 8 diffraction maxima, low angle first, 2θ = 10–90°:
- 35.70°, intensity 18
- 36.13°, intensity 27
- 37.82°, intensity 51
- 40.21°, intensity 100
- 40.93°, intensity 68
- 41.68°, intensity 24
- 64.70°, intensity 19
- 69.40°, intensity 16

Structure:
a = 5.583 Å, b = 5.583 Å, c = 6.744 Å
α = 125.18°, β = 125.18°, γ = 62.97°
Positions (direct):
Hf1 0.233 0.233 0.196
Hf2 0.767 0.767 0.804
Ru1 0.217 0.715 0.680
Ru2 0.285 0.783 0.320
Ru3 0.302 0.270 0.829
Ru4 0.721 0.218 0.685
Ru5 0.730 0.698 0.171
Ru6 0.782 0.279 0.315
C1 0.292 0.708 0.000
C2 0.996 0.004 0.500

=====

Record 6
For Hf4Sb3C, a GGA-PBE-relaxed structure gives the calculated powder diffraction line list in this record (a wavelength of 1.5418 Å).
Kinematic intensities with the Lorentz-polarization factor, no thermal factor.

Largest 8 diffraction maxima, low angle first, 2θ = 10–90°:
- 27.51°, intensity 21
- 29.58°, intensity 29
- 32.72°, intensity 64
- 33.20°, intensity 47
- 37.89°, intensity 100
- 47.30°, intensity 30
- 61.85°, intensity 21
- 66.53°, intensity 25

Structure:
a = 10.797 Å, b = 6.040 Å, c = 5.473 Å
α = 90.00°, β = 90.00°, γ = 90.00°
Positions (direct):
Hf1 0.000 0.164 0.000
Hf2 0.000 0.801 0.465
Hf3 0.206 0.166 0.445
Hf4 0.294 0.834 0.945
Hf5 0.500 0.199 0.965
Hf6 0.500 0.836 0.500
Hf7 0.706 0.834 0.945
Hf8 0.794 0.166 0.445
Sb1 0.000 0.670 0.961
Sb2 0.245 0.321 0.945
Sb3 0.255 0.679 0.445
Sb4 0.500 0.330 0.461
Sb5 0.745 0.679 0.445
Sb6 0.755 0.321 0.945
C1 0.000 0.156 0.410
C2 0.500 0.844 0.910

=====

Record 7
For Hf4Sb2C, a GGA-PBE-relaxed structure gives the calculated powder diffraction line list in this record (a wavelength of 1.5418 Å).
Kinematic intensities with the Lorentz-polarization factor, no thermal factor.

Largest 8 diffraction maxima, low angle first, 2θ = 10–90°:
- 32.45°, intensity 53
- 33.17°, intensity 100
- 38.29°, intensity 34
- 38.55°, intensity 34
- 40.50°, intensity 61
- 53.03°, intensity 27
- 61.09°, intensity 18
- 65.78°, intensity 14

Structure:
a = 7.776 Å, b = 7.776 Å, c = 6.075 Å
α = 111.32°, β = 111.32°, γ = 24.59°
Positions (direct):
Hf1 0.082 0.082 0.404
Hf2 0.413 0.413 0.071
Hf3 0.587 0.587 0.929
Hf4 0.918 0.918 0.596
Sb1 0.252 0.252 0.256
Sb2 0.748 0.748 0.744
C1 0.000 0.000 0.000

=====

Record 8
For Hf12Sb6C, a GGA-PBE-relaxed structure gives the calculated powder diffraction line list in this record (a wavelength of 1.5418 Å).
Kinematic intensities with the Lorentz-polarization factor, no thermal factor.

Largest 8 diffraction maxima, low angle first, 2θ = 10–90°:
- 28.34°, intensity 21
- 29.92°, intensity 28
- 32.32°, intensity 23
- 34.87°, intensity 58
- 35.56°, intensity 100
- 38.72°, intensity 29
- 41.68°, intensity 52
- 60.82°, intensity 25

Structure:
a = 7.753 Å, b = 7.753 Å, c = 7.753 Å
α = 100.78°, β = 100.78°, γ = 100.78°
Positions (direct):
Hf1 0.017 0.064 0.299
Hf2 0.064 0.299 0.017
Hf3 0.201 0.514 0.408
Hf4 0.299 0.017 0.064
Hf5 0.408 0.201 0.514
Hf6 0.486 0.592 0.799
Hf7 0.514 0.408 0.201
Hf8 0.592 0.799 0.486
Hf9 0.701 0.983 0.936
Hf10 0.799 0.486 0.592
Hf11 0.936 0.701 0.983
Hf12 0.983 0.936 0.701
Sb1 0.109 0.311 0.662
Sb2 0.311 0.662 0.109
Sb3 0.338 0.891 0.689
Sb4 0.662 0.109 0.311
Sb5 0.689 0.338 0.891
Sb6 0.891 0.689 0.338
C1 0.000 0.000 0.000

=====

Record 9
For Hf3SbC2, a GGA-PBE-relaxed structure gives the calculated powder diffraction line list in this record (a wavelength of 1.5418 Å).
Kinematic intensities with the Lorentz-polarization factor, no thermal factor.

Largest 8 diffraction maxima, low angle first, 2θ = 10–90°:
- 29.51°, intensity 100
- 30.45°, intensity 45
- 30.69°, intensity 48
- 32.14°, intensity 68
- 36.93°, intensity 92
- 37.57°, intensity 47
- 37.72°, intensity 71
- 40.81°, intensity 98

Structure:
a = 6.820 Å, b = 3.396 Å, c = 8.992 Å
α = 90.00°, β = 101.67°, γ = 90.00°
Positions (direct):
Hf1 0.093 0.250 0.148
Hf2 0.186 0.250 0.527
Hf3 0.340 0.250 0.870
Hf4 0.660 0.750 0.130
Hf5 0.814 0.750 0.473
Hf6 0.907 0.750 0.852
Sb1 0.394 0.750 0.337
Sb2 0.606 0.250 0.663
C1 0.111 0.750 0.668
C2 0.421 0.250 0.117
C3 0.579 0.750 0.883
C4 0.889 0.250 0.332

=====

Record 10
For HfScC2, a GGA-PBE-relaxed structure gives the calculated powder diffraction line list in this record (a wavelength of 1.5418 Å).
Kinematic intensities with the Lorentz-polarization factor, no thermal factor.

Largest 8 diffraction maxima, low angle first, 2θ = 10–90°:
- 15.79°, intensity 62
- 31.89°, intensity 100
- 33.23°, intensity 42
- 38.17°, intensity 37
- 41.55°, intensity 50
- 49.62°, intensity 23
- 55.97°, intensity 23
- 65.88°, intensity 30

Structure:
a = 5.925 Å, b = 5.925 Å, c = 5.925 Å
α = 32.20°, β = 32.20°, γ = 32.20°
Positions (direct):
Hf1 0.000 0.000 0.000
Sc1 0.176 0.176 0.176
C1 0.590 0.590 0.590
C2 0.754 0.754 0.754

=====

Record 11
For Hf2ZrScC, a GGA-PBE-relaxed structure gives the calculated powder diffraction line list in this record (a wavelength of 1.5418 Å).
Kinematic intensities with the Lorentz-polarization factor, no thermal factor.

Largest 8 diffraction maxima, low angle first, 2θ = 10–90°:
- 18.87°, intensity 22
- 27.70°, intensity 14
- 33.73°, intensity 100
- 38.27°, intensity 19
- 39.57°, intensity 35
- 56.23°, intensity 25
- 66.31°, intensity 14
- 68.08°, intensity 26

Structure:
a = 4.555 Å, b = 4.555 Å, c = 4.703 Å
α = 90.00°, β = 90.00°, γ = 90.00°
Positions (direct):
Hf1 0.000 0.500 0.000
Hf2 0.500 0.000 0.000
Zr1 0.000 0.000 0.500
Sc1 0.500 0.500 0.500
C1 0.000 0.000 0.000

=====

Record 12
For Hf6CSe, a GGA-PBE-relaxed structure gives the calculated powder diffraction line list in this record (a wavelength of 1.5418 Å).
Kinematic intensities with the Lorentz-polarization factor, no thermal factor.

Largest 8 diffraction maxima, low angle first, 2θ = 10–90°:
- 31.65°, intensity 100
- 33.36°, intensity 98
- 37.42°, intensity 47
- 37.87°, intensity 92
- 54.23°, intensity 26
- 54.36°, intensity 32
- 66.55°, intensity 24
- 70.08°, intensity 16

Structure:
a = 5.697 Å, b = 5.697 Å, c = 5.935 Å
α = 99.26°, β = 99.26°, γ = 117.00°
Positions (direct):
Hf1 0.036 0.380 0.228
Hf2 0.241 0.241 0.780
Hf3 0.380 0.036 0.228
Hf4 0.620 0.964 0.772
Hf5 0.759 0.759 0.220
Hf6 0.964 0.620 0.772
C1 0.000 0.000 0.000
Se1 0.500 0.500 0.500